1.
Structure and calculated XRD peak list of SbAu7 (a cell relaxed with PBE; Cu Ka).

Cell and atoms:
abc: 2.9586 2.9586 44.5257
angles: 90.00 90.00 90.00
Atoms (fractional coordinates):
Sb (0.2500, 0.2500, 0.1504)
Sb (0.7500, 0.7500, 0.8496)
Au (0.2500, 0.2500, 0.2492)
Au (0.2500, 0.2500, 0.3409)
Au (0.2500, 0.2500, 0.4319)
Au (0.2500, 0.2500, 0.5227)
Au (0.2500, 0.2500, 0.6135)
Au (0.2500, 0.2500, 0.7048)
Au (0.2500, 0.2500, 0.7979)
Au (0.7500, 0.7500, 0.2021)
Au (0.7500, 0.7500, 0.2952)
Au (0.7500, 0.7500, 0.3865)
Au (0.7500, 0.7500, 0.4773)
Au (0.7500, 0.7500, 0.5681)
Au (0.7500, 0.7500, 0.6591)
Au (0.7500, 0.7500, 0.7508)

Principal peaks in the range 2θ from 15° to 90°, most intense first:
two_theta	intensity
37.66	100
43.25	35
75.61	27
36.46	22
64.01	20
62.83	15
44.78	14
80.41	11
77.80	10
43.30	10

=====

2.
Structure and calculated XRD peak list of TbY2Ni2B2N3 (a cell relaxed with PBE; Cu Ka).

Cell and atoms:
abc: 10.3547 10.3547 10.3547
angles: 160.64 160.64 27.51
Atoms (fractional coordinates):
Tb (0.0000, 0.0000, 0.0000)
Y (0.3768, 0.3768, 0.0000)
Y (0.6232, 0.6232, 0.0000)
Ni (0.2500, 0.7500, 0.5000)
Ni (0.7500, 0.2500, 0.5000)
B (0.1895, 0.1895, 0.0000)
B (0.8105, 0.8105, 0.0000)
N (0.1170, 0.1170, 0.0000)
N (0.5000, 0.5000, 0.0000)
N (0.8830, 0.8830, 0.0000)

Principal peaks in the range 2θ from 15° to 90°, most intense first:
two_theta	intensity
28.90	100
34.06	87
37.62	79
35.71	63
52.57	45
45.72	43
65.18	40
36.50	34
64.14	28
59.33	27

=====

3.
Structure and calculated XRD peak list of Li2Zn3GePt2 (a cell relaxed with PBE; Cu Ka).

Cell and atoms:
abc: 4.3251 4.3251 6.0987
angles: 90.00 90.00 90.00
Atoms (fractional coordinates):
Li (0.0000, 0.5000, 0.2468)
Li (0.5000, 0.0000, 0.7532)
Zn (0.0000, 0.0000, 0.0000)
Zn (0.5000, 0.5000, 0.0000)
Zn (0.5000, 0.5000, 0.5000)
Ge (0.0000, 0.0000, 0.5000)
Pt (0.0000, 0.5000, 0.7406)
Pt (0.5000, 0.0000, 0.2594)

Principal peaks in the range 2θ from 15° to 90°, most intense first:
two_theta	intensity
41.81	100
25.24	75
49.43	25
76.30	22
66.72	15
49.55	12
60.55	11
76.44	11
81.86	9
60.75	5

=====

4.
Structure and calculated XRD peak list of Dy2Lu3Al3 (a cell relaxed with PBE; Cu Ka).

Cell and atoms:
abc: 6.4349 4.9175 6.4469
angles: 90.00 103.44 90.00
Atoms (fractional coordinates):
Dy (0.0000, 0.0000, 0.0000)
Dy (0.3016, 0.5000, 0.7864)
Lu (0.2918, 0.5000, 0.2847)
Lu (0.5779, 0.0000, 0.5667)
Lu (0.7902, 0.5000, 0.2841)
Al (0.0745, 0.0000, 0.5022)
Al (0.5079, 0.0000, 0.0725)
Al (0.7942, 0.5000, 0.7769)

Principal peaks in the range 2θ from 15° to 90°, most intense first:
two_theta	intensity
33.93	100
25.26	24
35.51	23
36.55	22
64.12	16
51.87	16
22.99	15
22.28	13
45.47	9
34.15	8

=====

5.
Structure and calculated XRD peak list of Dy2ErTm4Ni2Te2 (a cell relaxed with PBE; Cu Ka).

Cell and atoms:
abc: 9.2660 9.2660 9.2660
angles: 156.18 66.90 118.53
Atoms (fractional coordinates):
Dy (0.1470, 0.0000, 0.1470)
Dy (0.8530, 0.0000, 0.8530)
Er (0.7694, 0.2694, 0.5000)
Tm (0.2187, 0.8526, 0.3661)
Tm (0.4635, 0.6481, 0.8154)
Tm (0.4864, 0.8526, 0.6339)
Tm (0.8328, 0.6481, 0.1846)
Ni (0.0785, 0.3400, 0.7385)
Ni (0.6015, 0.3400, 0.2615)
Te (0.1091, 0.6091, 0.5000)
Te (0.5035, 0.5035, 0.0000)

Principal peaks in the range 2θ from 15° to 90°, most intense first:
two_theta	intensity
34.31	100
33.28	82
34.81	78
30.60	52
59.27	31
47.54	30
36.92	22
29.07	22
30.41	22
65.89	18

=====

6.
Structure and calculated XRD peak list of BaLaHg6 (a cell relaxed with PBE; Cu Ka).

Cell and atoms:
abc: 6.9387 6.9387 5.2290
angles: 90.00 90.00 120.00
Atoms (fractional coordinates):
Ba (0.0000, 0.0000, 0.0000)
La (0.3333, 0.6667, 0.5000)
Hg (0.3611, 0.1806, 0.5000)
Hg (0.5019, 0.0039, 0.0000)
Hg (0.5019, 0.4981, 0.0000)
Hg (0.8194, 0.1806, 0.5000)
Hg (0.8194, 0.6389, 0.5000)
Hg (0.9961, 0.4981, 0.0000)

Principal peaks in the range 2θ from 15° to 90°, most intense first:
two_theta	intensity
34.43	100
64.50	36
29.74	24
34.30	23
61.50	19
52.77	19
46.02	15
88.00	13
85.29	7
72.58	4

=====

Number 2 is which compound?
TbY2Ni2B2N3

=====

Please write out number 6 again, unchanged.
Structure and calculated XRD peak list of BaLaHg6 (a cell relaxed with PBE; Cu Ka).

Cell and atoms:
abc: 6.9387 6.9387 5.2290
angles: 90.00 90.00 120.00
Atoms (fractional coordinates):
Ba (0.0000, 0.0000, 0.0000)
La (0.3333, 0.6667, 0.5000)
Hg (0.3611, 0.1806, 0.5000)
Hg (0.5019, 0.0039, 0.0000)
Hg (0.5019, 0.4981, 0.0000)
Hg (0.8194, 0.1806, 0.5000)
Hg (0.8194, 0.6389, 0.5000)
Hg (0.9961, 0.4981, 0.0000)

Principal peaks in the range 2θ from 15° to 90°, most intense first:
two_theta	intensity
34.43	100
64.50	36
29.74	24
34.30	23
61.50	19
52.77	19
46.02	15
88.00	13
85.29	7
72.58	4

=====

Number 1 is which compound?
SbAu7